[1]
The following is a calculated PXRD pattern of Li2MgCl. It was derived from a DFT-relaxed cell (PBE, Alexandria), using a wavelength of 1.5418 Å.
Peak positions follow from Bragg's law for the DFT cell and can differ from measured ones.

Structural model:
```
Li2MgCl
1.0
3.3230 0.0000 0.0000
0.0000 3.2835 0.0000
-1.2305 0.0000 8.0834
Li Mg Cl
2 1 1
Direct
0.1150 0.0000 0.3003
0.8850 0.0000 0.6997
0.5000 0.5000 0.0000
0.0000 0.5000 0.5000
```

Most intense lines, 10° ≤ 2θ ≤ 90°, in order of rising 2θ:
10.95 deg, rel. 40; 21.99 deg, rel. 100; 27.16 deg, rel. 60; 27.73 deg, rel. 62; 30.88 deg, rel. 69; 35.22 deg, rel. 92; 39.20 deg, rel. 59; 39.95 deg, rel. 23; 41.59 deg, rel. 31; 48.98 deg, rel. 27; 54.87 deg, rel. 24; 56.00 deg, rel. 20

[2]
The following is a calculated PXRD pattern of Li3MgCl4. It was derived from a DFT-relaxed cell (PBE, Alexandria), using a wavelength of 1.5418 Å.
Peak positions follow from Bragg's law for the DFT cell and can differ from measured ones.

Structural model:
```
Li3MgCl4
1.0
-2.9167 2.9167 5.6345
2.9167 -2.9167 5.6345
2.9167 2.9167 -5.6345
Li Mg Cl
3 1 4
Direct
0.0000 0.0000 0.0000
0.2500 0.7500 0.5000
0.7500 0.2500 0.5000
0.5000 0.5000 0.0000
0.0938 0.0938 0.4565
0.3627 0.9062 0.0000
0.6373 0.6373 0.5435
0.9062 0.3627 0.0000
```

Most intense lines, 10° ≤ 2θ ≤ 90°, in order of rising 2θ:
26.79 deg, rel. 100; 28.26 deg, rel. 5; 30.65 deg, rel. 15; 31.76 deg, rel. 7; 35.31 deg, rel. 8; 43.90 deg, rel. 16; 44.72 deg, rel. 30; 52.17 deg, rel. 22; 53.62 deg, rel. 10; 63.82 deg, rel. 4; 71.72 deg, rel. 7; 81.28 deg, rel. 7

[3]
The following is a calculated PXRD pattern of LiMgSCl. It was derived from a DFT-relaxed cell (PBE, Alexandria), using a wavelength of 1.5418 Å.
Peak positions follow from Bragg's law for the DFT cell and can differ from measured ones.

Structural model:
```
LiMgSCl
1.0
4.2439 0.0000 0.0000
-2.1220 3.6754 0.0000
0.0000 0.0000 5.3909
Li Mg S Cl
1 1 1 1
Direct
0.0000 0.0000 0.0000
0.6667 0.3333 0.5000
0.0000 0.0000 0.5000
0.6667 0.3333 0.0000
```

Most intense lines, 10° ≤ 2θ ≤ 90°, in order of rising 2θ:
24.22 deg, rel. 100; 29.41 deg, rel. 49; 33.24 deg, rel. 47; 41.55 deg, rel. 41; 42.61 deg, rel. 66; 49.61 deg, rel. 12; 55.08 deg, rel. 57; 61.03 deg, rel. 12; 77.26 deg, rel. 12; 77.99 deg, rel. 10; 85.32 deg, rel. 16; 87.45 deg, rel. 15